# 1
Computed powder diffraction line list of RbNa2BO3 for λ = 1.5418 Å (Cu Kα), from the PBE geometry in Alexandria.
Lines closer than 0.1° are merged.

```
data_RbNa2BO3
_chemical_formula_sum 'Rb2 Na4 B2 O6'
_cell_length_a 5.737
_cell_length_b 6.198
_cell_length_c 5.630
_cell_angle_alpha 90.00
_cell_angle_beta 90.00
_cell_angle_gamma 90.00
_space_group_name_H-M_alt 'P m m n'
_space_group_IT_number 59
loop_
_space_group_symop_operation_xyz
'x,y,z'
'-x,-y,-z'
'-x+1/2,-y+1/2,z'
'x+1/2,y+1/2,-z'
'x+1/2,-y,-z'
'-x+1/2,y,z'
'-x,y+1/2,-z'
'x,-y+1/2,z'
loop_
_atom_site_label
_atom_site_type_symbol
_atom_site_fract_x
_atom_site_fract_y
_atom_site_fract_z
Rb1 Rb 0.250 0.250 0.106
Na1 Na 0.250 0.519 0.635
B1 B 0.250 0.750 0.213
O1 O 0.041 0.750 0.343
O2 O 0.250 0.750 0.966
```

Main lines, by intensity (2θ from 10° to 90°):
2θ 36.62, I 100; 2θ 46.03, I 87; 2θ 35.52, I 80; 2θ 26.44, I 79; 2θ 35.01, I 71; 2θ 31.18, I 67; 2θ 33.00, I 66; 2θ 38.09, I 54; 2θ 28.81, I 47; 2θ 21.10, I 39


# 2
Computed powder diffraction line list of NaBRhO4 for λ = 1.5418 Å (Cu Kα), from the PBE geometry in Alexandria.
Lines closer than 0.1° are merged.

```
data_NaBRhO4
_chemical_formula_sum 'Na4 B4 Rh4 O16'
_cell_length_a 5.844
_cell_length_b 8.804
_cell_length_c 6.167
_cell_angle_alpha 90.00
_cell_angle_beta 90.00
_cell_angle_gamma 90.00
_space_group_name_H-M_alt 'C m c m'
_space_group_IT_number 63
_space_group_name_Hall '-C 2c 2'
loop_
_atom_site_label
_atom_site_type_symbol
_atom_site_fract_x
_atom_site_fract_y
_atom_site_fract_z
Na1 Na 0.000 0.000 0.000
B1 B 0.000 0.381 0.250
Rh1 Rh 0.000 0.331 0.750
O1 O 0.000 0.284 0.058
O2 O 0.197 0.489 0.250
```

Main lines, by intensity (2θ from 10° to 90°):
2θ 23.28, I 100; 2θ 34.19, I 73; 2θ 34.43, I 53; 2θ 30.60, I 50; 2θ 18.22, I 50; 2θ 24.85, I 40; 2θ 48.04, I 33; 2θ 39.81, I 30; 2θ 28.96, I 27; 2θ 56.72, I 24


# 3
Computed powder diffraction line list of NaB2RuO6 for λ = 1.5418 Å (Cu Kα), from the PBE geometry in Alexandria.
Lines closer than 0.1° are merged.

```
data_NaB2RuO6
_chemical_formula_sum 'Na3 B6 Ru3 O18'
_cell_length_a 4.8475
_cell_length_b 4.8475
_cell_length_c 16.1875
_cell_angle_alpha 90.00
_cell_angle_beta 90.00
_cell_angle_gamma 120.00
_space_group_name_H-M_alt 'R -3'
_space_group_IT_number 148
_space_group_name_Hall '-R 3'
loop_
_atom_site_label
_atom_site_type_symbol
_atom_site_fract_x
_atom_site_fract_y
_atom_site_fract_z
Na1 Na 0.0000 0.0000 0.0000
B1 B 0.0000 0.0000 0.2342
Ru1 Ru 0.0000 0.0000 0.5000
O1 O 0.0288 0.4059 0.9040
```

Main lines, by intensity (2θ from 10° to 90°):
2θ 30.69, I 100; 2θ 16.43, I 70; 2θ 21.87, I 66; 2θ 23.88, I 58; 2θ 50.63, I 40; 2θ 40.81, I 33; 2θ 44.60, I 24; 2θ 37.09, I 22; 2θ 50.04, I 19; 2θ 59.35, I 17


# 4
Computed powder diffraction line list of NaBRuO5 for λ = 1.5418 Å (Cu Kα), from the PBE geometry in Alexandria.
Lines closer than 0.1° are merged.

```
data_NaBRuO5
_chemical_formula_sum 'Na4 B4 Ru4 O20'
_cell_length_a 6.347
_cell_length_b 8.284
_cell_length_c 7.070
_cell_angle_alpha 90.00
_cell_angle_beta 116.48
_cell_angle_gamma 90.00
_space_group_name_H-M_alt 'C 1 2/c 1'
_space_group_IT_number 15
loop_
_space_group_symop_operation_xyz
'x,y,z'
'-x,-y,-z'
'-x,y,-z+1/2'
'x,-y,z+1/2'
'x+1/2,y+1/2,z'
'-x+1/2,-y+1/2,-z'
'-x+1/2,y+1/2,-z+1/2'
'x+1/2,-y+1/2,z+1/2'
loop_
_atom_site_label
_atom_site_type_symbol
_atom_site_fract_x
_atom_site_fract_y
_atom_site_fract_z
Na1 Na 0.000 0.159 0.250
B1 B 0.000 0.190 0.750
Ru1 Ru 0.000 0.500 0.000
O1 O 0.000 0.425 0.250
O2 O 0.102 0.290 0.637
O3 O 0.177 0.079 0.906
```

Main lines, by intensity (2θ from 10° to 90°):
2θ 18.94, I 100; 2θ 27.61, I 72; 2θ 31.50, I 35; 2θ 35.71, I 32; 2θ 21.45, I 29; 2θ 36.17, I 29; 2θ 44.80, I 19; 2θ 54.90, I 19; 2θ 38.46, I 18; 2θ 49.36, I 13


# 5
Computed powder diffraction line list of Na6B4Sb2SO16 for λ = 1.5418 Å (Cu Kα), from the PBE geometry in Alexandria.
Lines closer than 0.1° are merged.

Unit cell a=14.343 b=14.343 c=14.343 alpha=90.00 beta=90.00 gamma=90.00
Space group Fd-3 (No. 203, origin choice 2)
Symmetry-distinct sites (fractional):
Na: 0.087 0.375 0.375 [48 per cell]
B: 0.032 0.032 0.718 [32 per cell]
Sb: 0.000 0.000 0.500 [16 per cell]
S: 0.125 0.125 0.125 [8 per cell]
O: 0.019 0.104 0.782 [96 per cell]
O: 0.065 0.065 0.065 [32 per cell]

Main lines, by intensity (2θ from 10° to 90°):
2θ 20.54, I 100; 2θ 35.40, I 57; 2θ 32.43, I 57; 2θ 10.68, I 50; 2θ 21.46, I 39; 2θ 41.77, I 32; 2θ 55.48, I 24; 2θ 37.08, I 23; 2θ 55.88, I 22; 2θ 45.14, I 18